Structure and calculated XRD peak list of Sc4H2CN (the GGA-PBE geometry in Alexandria; a wavelength of 1.5418 Å).

Largest 10 diffraction maxima, low angle first, 2θ from 5° to 70°:
| 2θ/deg | I_rel |
| --- | --- |
| 19.9 | 2 |
| 27.1 | 2 |
| 33.9 | 100 |
| 38.7 | 62 |
| 40.5 | 27 |
| 43.9 | 1 |
| 55.9 | 18 |
| 57.3 | 33 |
| 67.0 | 25 |
| 69.5 | 11 |

Structural model:
```
data_Sc4H2CN
_cell_length_a 5.536
_cell_length_b 5.536
_cell_length_c 5.536
_cell_angle_alpha 130.35
_cell_angle_beta 130.35
_cell_angle_gamma 72.85
_symmetry_space_group_name_H-M 'P 1'
_symmetry_Int_Tables_number 1
loop_
_symmetry_equiv_pos_as_xyz
'x,y,z'
loop_
_atom_site_label
_atom_site_type_symbol
_atom_site_fract_x
_atom_site_fract_y
_atom_site_fract_z
_atom_site_occupancy
Sc1 Sc 0.000 0.500 0.500 1
Sc2 Sc 0.246 0.246 0.000 1
Sc3 Sc 0.500 0.000 0.500 1
Sc4 Sc 0.754 0.754 0.000 1
H1 H 0.250 0.750 0.500 1
H2 H 0.750 0.250 0.500 1
C1 C 0.500 0.500 0.000 1
N1 N 0.000 0.000 0.000 1
```